No. 1
Theoretical powder diffraction line list of ZrSnH4NF7 for copper Kα, from a cell relaxed with PBE.
Peak positions follow from Bragg's law for the DFT cell and can differ from measured ones.

Principal peaks in the range 2θ = 10–80°, low angle first:
2θ/deg  I_rel
14.66  39
16.68  71
21.62  92
26.77  100
27.43  41
34.66  35

Cell and atoms:
Lattice parameters (Å, degrees): 8.2217 5.9186 12.0865 90.00 90.00 90.00
Fractional coordinates of all 56 atoms:
Zr 0.0000 0.2467 0.0857
Zr 0.0000 0.7533 0.9143
Zr 0.5000 0.2467 0.4143
Zr 0.5000 0.7533 0.5857
Sn 0.0000 0.2625 0.4154
Sn 0.0000 0.7375 0.5846
Sn 0.5000 0.2625 0.0846
Sn 0.5000 0.7375 0.9154
H 0.1567 0.3254 0.7815
H 0.1567 0.6746 0.2185
H 0.2027 0.1257 0.6889
H 0.2027 0.8743 0.3111
H 0.2973 0.1257 0.8111
H 0.2973 0.8743 0.1889
H 0.3433 0.3254 0.7185
H 0.3433 0.6746 0.2815
H 0.6567 0.3254 0.7185
H 0.6567 0.6746 0.2815
H 0.7027 0.1257 0.8111
H 0.7027 0.8743 0.1889
H 0.7973 0.1257 0.6889
H 0.7973 0.8743 0.3111
H 0.8433 0.3254 0.7815
H 0.8433 0.6746 0.2185
N 0.2500 0.2270 0.7500
N 0.2500 0.7730 0.2500
N 0.7500 0.2270 0.7500
N 0.7500 0.7730 0.2500
F 0.0000 0.1063 0.2445
F 0.0000 0.1215 0.5847
F 0.0000 0.1282 0.9236
F 0.0000 0.4939 0.8016
F 0.0000 0.5061 0.1984
F 0.0000 0.8718 0.0764
F 0.0000 0.8785 0.4153
F 0.0000 0.8937 0.7555
F 0.1495 0.5000 0.0000
F 0.2400 0.1514 0.1056
F 0.2400 0.8486 0.8944
F 0.2600 0.1514 0.3944
F 0.2600 0.8486 0.6056
F 0.3505 0.5000 0.5000
F 0.5000 0.1063 0.2555
F 0.5000 0.1215 0.9153
F 0.5000 0.1282 0.5764
F 0.5000 0.4939 0.6984
F 0.5000 0.5061 0.3016
F 0.5000 0.8718 0.4236
F 0.5000 0.8785 0.0847
F 0.5000 0.8937 0.7445
F 0.6495 0.5000 0.5000
F 0.7400 0.1514 0.3944
F 0.7400 0.8486 0.6056
F 0.7600 0.1514 0.1056
F 0.7600 0.8486 0.8944
F 0.8505 0.5000 0.0000



No. 2
Theoretical powder diffraction line list of ZrH3NF4 for copper Kα, from a cell relaxed with PBE.
Peak positions follow from Bragg's law for the DFT cell and can differ from measured ones.

Principal peaks in the range 2θ = 10–80°, low angle first:
2θ/deg  I_rel
11.98  100
16.94  65
23.91  34
24.39  31
25.68  31
25.95  34

Cell and atoms:
Lattice parameters (Å, degrees): 5.7880 7.8517 8.3039 106.86 104.85 106.33
Fractional coordinates of all 36 atoms:
Zr 0.2127 0.2847 0.3653
Zr 0.2348 0.7815 0.3266
Zr 0.7652 0.2185 0.6734
Zr 0.7873 0.7153 0.6347
H 0.2110 0.2921 0.9674
H 0.2212 0.9346 0.9589
H 0.2317 0.5036 0.9550
H 0.3060 0.3496 0.8107
H 0.3063 0.7743 0.8340
H 0.3117 0.9656 0.7924
H 0.6883 0.0344 0.2076
H 0.6937 0.2257 0.1660
H 0.6940 0.6504 0.1893
H 0.7683 0.4964 0.0450
H 0.7788 0.0654 0.0411
H 0.7890 0.7079 0.0326
N 0.1840 0.3607 0.8799
N 0.2108 0.8652 0.8307
N 0.7892 0.1348 0.1693
N 0.8160 0.6393 0.1201
F 0.0161 0.6953 0.4756
F 0.0702 0.9895 0.3389
F 0.1368 0.4754 0.2446
F 0.2503 0.1623 0.1283
F 0.2935 0.7402 0.0943
F 0.3888 0.5752 0.5863
F 0.4149 0.2675 0.6142
F 0.4626 0.9477 0.6155
F 0.5374 0.0523 0.3845
F 0.5851 0.7325 0.3858
F 0.6112 0.4248 0.4137
F 0.7065 0.2598 0.9057
F 0.7497 0.8377 0.8717
F 0.8632 0.5246 0.7554
F 0.9298 0.0105 0.6611
F 0.9839 0.3047 0.5244



No. 3
Theoretical powder diffraction line list of H3Pd2O2F12 for copper Kα, from a cell relaxed with PBE.
Peak positions follow from Bragg's law for the DFT cell and can differ from measured ones.

Principal peaks in the range 2θ = 10–80°, low angle first:
2θ/deg  I_rel
19.64  31
21.19  46
22.03  100
22.48  56
23.93  33
24.31  40

Cell and atoms:
Lattice parameters (Å, degrees): 5.1997 9.1102 9.1852 113.70 99.65 102.66
Fractional coordinates of all 38 atoms:
H 0.1371 0.2968 0.0445
H 0.3136 0.0674 0.3937
H 0.3391 0.0261 0.8807
H 0.6609 0.9739 0.1193
H 0.6864 0.9326 0.6063
H 0.8629 0.7032 0.9555
Pd 0.0617 0.2435 0.2990
Pd 0.3425 0.7739 0.1917
Pd 0.6575 0.2261 0.8083
Pd 0.9383 0.7565 0.7010
O 0.1660 0.3646 0.7058
O 0.3384 0.4720 0.7053
O 0.6616 0.5280 0.2947
O 0.8340 0.6354 0.2942
F 0.0422 0.3319 0.9473
F 0.1092 0.9997 0.8660
F 0.1265 0.7947 0.5544
F 0.2254 0.4756 0.4512
F 0.2372 0.9324 0.3750
F 0.2385 0.7136 0.8052
F 0.2573 0.2692 0.1400
F 0.2606 0.6099 0.2702
F 0.2897 0.1359 0.6706
F 0.3809 0.2011 0.4058
F 0.4314 0.9501 0.1145
F 0.4458 0.6224 0.0209
F 0.5542 0.3776 0.9791
F 0.5686 0.0499 0.8855
F 0.6191 0.7989 0.5942
F 0.7103 0.8641 0.3294
F 0.7394 0.3901 0.7298
F 0.7427 0.7308 0.8600
F 0.7615 0.2864 0.1948
F 0.7628 0.0676 0.6250
F 0.7746 0.5244 0.5488
F 0.8735 0.2053 0.4456
F 0.8908 0.0003 0.1340
F 0.9578 0.6681 0.0527



No. 4
Theoretical powder diffraction line list of ZnSn2H12O6F6 for copper Kα, from a cell relaxed with PBE.
Peak positions follow from Bragg's law for the DFT cell and can differ from measured ones.

Principal peaks in the range 2θ = 10–80°, low angle first:
2θ/deg  I_rel
13.81  67
18.02  100
23.08  36
25.60  36
29.07  52
36.69  37

Cell and atoms:
Lattice parameters (Å, degrees): 6.1312 6.5829 6.6299 77.68 79.02 74.80
Fractional coordinates of all 27 atoms:
Zn 0.0000 0.0000 0.0000
Sn 0.3071 0.3442 0.5381
Sn 0.6929 0.6558 0.4619
H 0.0715 0.7930 0.6895
H 0.1222 0.8260 0.3569
H 0.2562 0.4563 0.0080
H 0.2921 0.8891 0.7058
H 0.3320 0.5242 0.0207
H 0.3772 0.0063 0.1642
H 0.6228 0.9937 0.8358
H 0.6680 0.4758 0.9794
H 0.7079 0.1109 0.2942
H 0.7438 0.5437 0.9920
H 0.8778 0.1740 0.6431
H 0.9285 0.2070 0.3105
O 0.1206 0.9168 0.7184
O 0.2777 0.7514 0.3006
O 0.3261 0.8959 0.1067
O 0.6739 0.1041 0.8933
O 0.7223 0.2486 0.6994
O 0.8794 0.0832 0.2816
F 0.0149 0.3546 0.3944
F 0.1373 0.2556 0.8472
F 0.4561 0.1057 0.3114
F 0.5439 0.8943 0.6886
F 0.8627 0.7444 0.1528
F 0.9851 0.6454 0.6056



No. 5
Theoretical powder diffraction line list of ZnH8O4F2 for copper Kα, from a cell relaxed with PBE.
Peak positions follow from Bragg's law for the DFT cell and can differ from measured ones.

Principal peaks in the range 2θ = 10–80°, low angle first:
2θ/deg  I_rel
18.84  100
22.44  39
28.96  25
31.04  35
33.56  14
45.88  15

Cell and atoms:
Lattice parameters (Å, degrees): 12.3314 5.1159 7.2690 90.00 90.00 90.00
Fractional coordinates of all 60 atoms:
Zn 0.1236 0.1934 0.0000
Zn 0.3764 0.1934 0.5000
Zn 0.6236 0.8066 0.0000
Zn 0.8764 0.8066 0.5000
H 0.0174 0.4821 0.2421
H 0.0792 0.9437 0.3904
H 0.0802 0.9505 0.6111
H 0.1238 0.6362 0.1864
H 0.1349 0.7346 0.8218
H 0.1714 0.3725 0.3912
H 0.1726 0.3765 0.6104
H 0.2337 0.9215 0.7610
H 0.2663 0.9215 0.2610
H 0.3274 0.3765 0.1104
H 0.3286 0.3725 0.8912
H 0.3651 0.7346 0.3218
H 0.3762 0.6362 0.6864
H 0.4198 0.9505 0.1111
H 0.4208 0.9437 0.8904
H 0.4826 0.4821 0.7421
H 0.5174 0.5179 0.2421
H 0.5792 0.0563 0.3904
H 0.5802 0.0495 0.6111
H 0.6238 0.3638 0.1864
H 0.6349 0.2654 0.8218
H 0.6714 0.6275 0.3912
H 0.6726 0.6235 0.6104
H 0.7337 0.0785 0.7610
H 0.7663 0.0785 0.2610
H 0.8274 0.6235 0.1104
H 0.8286 0.6275 0.8912
H 0.8651 0.2654 0.3218
H 0.8762 0.3638 0.6864
H 0.9198 0.0495 0.1111
H 0.9208 0.0563 0.8904
H 0.9826 0.5179 0.7421
O 0.0319 0.9541 0.5004
O 0.0962 0.4539 0.2095
O 0.1548 0.9224 0.7993
O 0.2191 0.3468 0.5009
O 0.2809 0.3468 0.0009
O 0.3452 0.9224 0.2993
O 0.4038 0.4539 0.7095
O 0.4681 0.9541 0.0004
O 0.5319 0.0459 0.5004
O 0.5962 0.5461 0.2095
O 0.6548 0.0776 0.7993
O 0.7191 0.6532 0.5009
O 0.7809 0.6532 0.0009
O 0.8452 0.0776 0.2993
O 0.9038 0.5461 0.7095
O 0.9681 0.0459 0.0004
F 0.0973 0.4541 0.7879
F 0.1531 0.9219 0.2059
F 0.3469 0.9219 0.7059
F 0.4027 0.4541 0.2879
F 0.5973 0.5459 0.7879
F 0.6531 0.0781 0.2059
F 0.8469 0.0781 0.7059
F 0.9027 0.5459 0.2879



No. 6
Theoretical powder diffraction line list of ZrH6O3F4 for copper Kα, from a cell relaxed with PBE.
Peak positions follow from Bragg's law for the DFT cell and can differ from measured ones.

Principal peaks in the range 2θ = 10–80°, low angle first:
2θ/deg  I_rel
15.22  100
17.97  27
24.71  11
27.58  23
28.89  12
29.85  11

Cell and atoms:
Lattice parameters (Å, degrees): 6.6589 9.8709 7.4200 90.00 103.76 90.00
Fractional coordinates of all 56 atoms:
Zr 0.2407 0.0397 0.4595
Zr 0.2407 0.4603 0.9595
Zr 0.7593 0.5397 0.0405
Zr 0.7593 0.9603 0.5405
H 0.1151 0.6212 0.3995
H 0.1151 0.8788 0.8995
H 0.2343 0.1941 0.0775
H 0.2343 0.3059 0.5775
H 0.2814 0.6324 0.6570
H 0.2814 0.8676 0.1570
H 0.2831 0.7290 0.8443
H 0.2831 0.7710 0.3443
H 0.3000 0.1882 0.8841
H 0.3000 0.3118 0.3841
H 0.3206 0.5575 0.3810
H 0.3206 0.9425 0.8810
H 0.6794 0.0575 0.1190
H 0.6794 0.4425 0.6190
H 0.7000 0.6882 0.6159
H 0.7000 0.8118 0.1159
H 0.7169 0.2290 0.6557
H 0.7169 0.2710 0.1557
H 0.7186 0.1324 0.8430
H 0.7186 0.3676 0.3430
H 0.7657 0.6941 0.4225
H 0.7657 0.8059 0.9225
H 0.8849 0.1212 0.1005
H 0.8849 0.3788 0.6005
O 0.2623 0.6349 0.7883
O 0.2623 0.8651 0.2883
O 0.2679 0.6323 0.4447
O 0.2679 0.8677 0.9447
O 0.3079 0.2462 0.9969
O 0.3079 0.2538 0.4969
O 0.6921 0.7462 0.5031
O 0.6921 0.7538 0.0031
O 0.7321 0.1323 0.0553
O 0.7321 0.3677 0.5553
O 0.7377 0.1349 0.7117
O 0.7377 0.3651 0.2117
F 0.0624 0.6167 0.0465
F 0.0624 0.8833 0.5465
F 0.1234 0.1035 0.1862
F 0.1234 0.3965 0.6862
F 0.2595 0.0843 0.7382
F 0.2595 0.4157 0.2382
F 0.4823 0.5806 0.1284
F 0.4823 0.9194 0.6284
F 0.5177 0.0806 0.3716
F 0.5177 0.4194 0.8716
F 0.7405 0.5843 0.7618
F 0.7405 0.9157 0.2618
F 0.8766 0.6035 0.3138
F 0.8766 0.8965 0.8138
F 0.9376 0.1167 0.4535
F 0.9376 0.3833 0.9535



No. 7
Theoretical powder diffraction line list of ZrH6O2F6 for copper Kα, from a cell relaxed with PBE.
Peak positions follow from Bragg's law for the DFT cell and can differ from measured ones.

Principal peaks in the range 2θ = 10–80°, low angle first:
2θ/deg  I_rel
14.60  31
15.71  100
20.59  30
28.02  12
28.62  41
43.27  17

Cell and atoms:
Lattice parameters (Å, degrees): 6.9498 6.9498 6.5271 99.59 99.59 121.64
Fractional coordinates of all 30 atoms:
Zr 0.0535 0.9465 0.7500
Zr 0.9465 0.0535 0.2500
H 0.1406 0.5994 0.8819
H 0.2334 0.6052 0.4143
H 0.2880 0.4837 0.9565
H 0.3948 0.7666 0.0857
H 0.4006 0.8594 0.6181
H 0.4837 0.2880 0.4565
H 0.5163 0.7120 0.5435
H 0.5994 0.1406 0.3819
H 0.6052 0.2334 0.9143
H 0.7120 0.5163 0.0435
H 0.7666 0.3948 0.5857
H 0.8594 0.4006 0.1181
O 0.2455 0.5997 0.0120
O 0.4003 0.7545 0.4880
O 0.5997 0.2455 0.5120
O 0.7545 0.4003 0.9880
F 0.0072 0.6088 0.6931
F 0.0863 0.8948 0.4378
F 0.1052 0.9137 0.0622
F 0.3027 0.3114 0.3578
F 0.3114 0.3027 0.8578
F 0.3912 0.9928 0.8069
F 0.6088 0.0072 0.1931
F 0.6886 0.6973 0.1422
F 0.6973 0.6886 0.6422
F 0.8948 0.0863 0.9378
F 0.9137 0.1052 0.5622
F 0.9928 0.3912 0.3069